BaCdAs2: computed powder X-ray diffraction pattern (a wavelength of 1.5418 Å), based on a cell relaxed with GGA-PBE.
Peak positions follow from Bragg's law for the DFT cell and can differ from measured ones.

Peak list (12 most intense, 5° ≤ 2θ ≤ 70°, in order of rising 2θ)
Position (°2θ)  d [Å]  I_rel
23.4  3.803  32
26.5  3.366  80
31.0  2.886  100
35.8  2.506  22
36.5  2.464  16
39.1  2.305  96
42.6  2.122  23
47.8  1.902  16
50.7  1.801  25
54.1  1.696  40
63.9  1.458  15
65.8  1.419  22

Cell and atoms:
```
BaCdAs2
1.0
4.609 0.000 0.000
-2.305 3.992 0.000
0.000 0.000 12.528
Ba Cd As
2 2 4
direct
0.000 0.000 0.190
0.000 0.000 0.810
0.333 0.667 0.581
0.667 0.333 0.419
0.333 0.667 0.353
0.333 0.667 0.985
0.667 0.333 0.015
0.667 0.333 0.647
```

LiIn2Ag7Sb2: computed powder X-ray diffraction pattern (a wavelength of 1.5418 Å), based on a cell relaxed with GGA-PBE.
Peak positions follow from Bragg's law for the DFT cell and can differ from measured ones.

Peak list (12 most intense, 5° ≤ 2θ ≤ 70°, in order of rising 2θ)
Position (°2θ)  d [Å]  I_rel
29.0  3.083  85
34.9  2.569  100
35.1  2.559  100
36.6  2.458  66
38.4  2.344  89
39.1  2.304  38
39.2  2.297  59
41.6  2.171  61
42.2  2.141  87
53.2  1.722  37
57.6  1.600  31
69.2  1.357  51

Cell and atoms:
```
LiIn2Ag7Sb2
1.0
3.444 -3.200 0.000
3.444 3.200 0.000
-0.047 0.000 11.520
Li In Ag Sb
1 2 7 2
direct
0.000 0.000 0.000
0.500 0.500 0.296
0.500 0.500 0.704
0.000 0.499 0.865
0.000 0.501 0.135
0.271 0.271 0.500
0.499 0.000 0.865
0.500 0.500 0.000
0.501 0.000 0.135
0.729 0.729 0.500
0.000 0.000 0.302
0.000 0.000 0.698
```

Ce4Ho3PuS8: computed powder X-ray diffraction pattern (a wavelength of 1.5418 Å), based on a cell relaxed with GGA-PBE.
Peak positions follow from Bragg's law for the DFT cell and can differ from measured ones.

Peak list (12 most intense, 5° ≤ 2θ ≤ 70°, in order of rising 2θ)
Position (°2θ)  d [Å]  I_rel
13.6  6.506  3
27.4  3.253  21
27.6  3.227  61
32.0  2.800  100
45.7  1.986  36
46.0  1.974  36
54.1  1.695  10
54.4  1.688  20
54.5  1.684  10
56.6  1.627  6
57.1  1.613  19
66.8  1.400  12

Cell and atoms:
```
Ce4Ho3PuS8
1.0
3.948 2.279 6.506
-3.948 2.279 6.506
0.000 -4.559 6.506
Ce Ho Pu S
4 3 1 8
direct
0.000 0.000 0.000
0.000 0.500 0.500
0.500 0.000 0.500
0.500 0.500 0.000
0.000 0.000 0.500
0.000 0.500 0.000
0.500 0.000 0.000
0.500 0.500 0.500
0.244 0.748 0.748
0.246 0.246 0.246
0.252 0.252 0.756
0.252 0.756 0.252
0.748 0.244 0.748
0.748 0.748 0.244
0.754 0.754 0.754
0.756 0.252 0.252
```